Record 1
# Zn5B3Ir7
Computed powder diffractogram, Cu Kα, 1.54184 Å. Input: a DFT-relaxed cell (PBE, OQMD).
Neutral-atom scattering factors, no anomalous dispersion.

Crystal structure
```
data_Zn5B3Ir7
_symmetry_space_group_name_H-M 'P m m a'
_symmetry_Int_Tables_number 51
_cell_length_a 11.7233
_cell_length_b 2.8396
_cell_length_c 12.4638
_cell_angle_alpha 90.00
_cell_angle_beta 90.00
_cell_angle_gamma 90.00
loop_
_symmetry_equiv_pos_as_xyz
'x,y,z'
'-x,-y,-z'
'-x+1/2,-y,z'
'x+1/2,y,-z'
'x+1/2,-y,-z'
'-x+1/2,y,z'
'-x,y,-z'
'x,-y,z'
loop_
_atom_site_label
_atom_site_fract_x
_atom_site_fract_y
_atom_site_fract_z
_atom_site_occupancy
Zn1 0.0495 0.0000 0.1031 1
Zn2 0.0790 0.0000 0.3134 1
Zn3 0.2500 0.0000 0.4174 1
B1 0.1058 0.0000 0.6083 1
B2 0.2500 0.0000 0.2484 1
Ir1 0.0000 0.5000 0.5000 1
Ir2 0.0913 0.5000 0.7392 1
Ir3 0.1419 0.5000 0.9386 1
Ir4 0.2500 0.5000 0.1295 1
Ir5 0.2500 0.5000 0.5805 1
```

Main lines, in order of rising 2θ (2θ from 5° to 70°):
2θ (°)  I/Imax  hkl
10.36  42  1 0 1
31.37  56  4 0 1
31.51  74  0 1 0
32.54  43  2 0 4
33.25  46  1 1 1
36.87  59  1 0 5
37.56  39  4 0 3
39.91  71  3 1 1
41.91  39  3 1 2
45.06  47  4 1 1
45.93  56  2 1 4
49.27  100  1 1 5

Record 2
# LaMg2GaAu
Computed powder diffractogram, Cu Kα, 1.54184 Å. Input: a DFT-relaxed cell (PBE, OQMD).
Neutral-atom scattering factors, no anomalous dispersion.

Crystal structure
```
data_LaMg2GaAu
_symmetry_space_group_name_H-M 'I 4 m m'
_symmetry_Int_Tables_number 107
_symmetry_space_group_name_Hall 'I 4 -2'
_cell_length_a 4.4138
_cell_length_b 4.4138
_cell_length_c 11.9408
_cell_angle_alpha 90.00
_cell_angle_beta 90.00
_cell_angle_gamma 90.00
loop_
_atom_site_label
_atom_site_fract_x
_atom_site_fract_y
_atom_site_fract_z
_atom_site_occupancy
La1 0.0000 0.0000 0.0000 1
Mg1 0.0000 0.5000 0.2582 1
Ga1 0.0000 0.0000 0.4033 1
Au1 0.0000 0.0000 0.6196 1
```

Main lines, in order of rising 2θ (2θ from 5° to 70°):
2θ (°)  I/Imax  hkl
14.84  46  0 0 2
21.46  35  1 0 1
28.60  86  1 1 0
30.24  100  1 0 3
32.37  68  1 1 2
40.89  55  2 0 0
43.07  69  1 0 5
51.69  45  2 1 3
59.21  18  2 2 0
60.89  49  2 1 5
67.05  16  3 1 0
69.11  15  3 1 2

Record 3
# SmZn3CuPd
Computed powder diffractogram, Cu Kα, 1.54184 Å. Input: a DFT-relaxed cell (PBE, OQMD).
Neutral-atom scattering factors, no anomalous dispersion.

Crystal structure
```
data_SmZn3CuPd
_symmetry_space_group_name_H-M 'P -6 m 2'
_symmetry_Int_Tables_number 187
_symmetry_space_group_name_Hall 'P -6 2'
_cell_length_a 5.2638
_cell_length_b 5.2638
_cell_length_c 4.2979
_cell_angle_alpha 90.00
_cell_angle_beta 90.00
_cell_angle_gamma 120.00
loop_
_atom_site_label
_atom_site_fract_x
_atom_site_fract_y
_atom_site_fract_z
_atom_site_occupancy
Sm1 0.0000 0.0000 0.0000 1
Zn1 0.0041 0.5020 0.5000 1
Cu1 0.3333 0.6667 0.0000 1
Pd1 0.6667 0.3333 0.0000 1
```

Main lines, in order of rising 2θ (2θ from 5° to 70°):
2θ (°)  I/Imax  hkl
20.67  7  0 0 1
28.54  30  1 0 1
34.06  33  1 1 0
39.54  25  2 0 0
40.18  100  1 1 1
42.05  27  0 0 2
45.02  11  2 0 1
55.18  16  1 1 2
57.64  8  2 1 1
59.08  15  2 0 2
60.97  6  3 0 0
65.11  23  3 0 1

Record 4
# HoPSe2S2
Computed powder diffractogram, Cu Kα, 1.54184 Å. Input: a DFT-relaxed cell (PBE, OQMD).
Neutral-atom scattering factors, no anomalous dispersion.

Crystal structure
```
data_HoPSe2S2
_symmetry_space_group_name_H-M 'P -1'
_symmetry_Int_Tables_number 2
_cell_length_a 6.5594
_cell_length_b 6.7389
_cell_length_c 7.8853
_cell_angle_alpha 88.85
_cell_angle_beta 87.38
_cell_angle_gamma 81.46
loop_
_symmetry_equiv_pos_as_xyz
'x,y,z'
'-x,-y,-z'
loop_
_atom_site_label
_atom_site_fract_x
_atom_site_fract_y
_atom_site_fract_z
_atom_site_occupancy
Ho1 0.2067 0.2011 0.0556 1
P1 0.3076 0.7621 0.8155 1
Se1 0.1245 0.5104 0.7827 1
Se2 0.4184 0.2591 0.3531 1
S1 0.0853 0.0085 0.7711 1
S2 0.3875 0.7820 0.0656 1
```

Main lines, in order of rising 2θ (2θ from 5° to 70°):
2θ (°)  I/Imax  hkl
11.23  100  0 0 1
17.33  19  0 1 1
17.58  68  0 1 -1
20.50  20  1 -1 0
23.62  18  -1 1 1
28.16  25  1 1 2
30.30  40  2 0 -1
30.85  17  1 2 -1
31.97  16  1 -2 0
35.06  21  0 2 2
36.36  21  1 0 3
48.93  18  1 0 -4

Record 5
# Na2CuPdF7
Computed powder diffractogram, Cu Kα, 1.54184 Å. Input: a DFT-relaxed cell (PBE, OQMD).
Neutral-atom scattering factors, no anomalous dispersion.

Crystal structure
```
data_Na2CuPdF7
_symmetry_space_group_name_H-M 'I m m a'
_symmetry_Int_Tables_number 74
_symmetry_space_group_name_Hall '-I 2b 2'
_cell_length_a 7.2266
_cell_length_b 9.9895
_cell_length_c 7.0838
_cell_angle_alpha 90.00
_cell_angle_beta 90.00
_cell_angle_gamma 90.00
loop_
_atom_site_label
_atom_site_fract_x
_atom_site_fract_y
_atom_site_fract_z
_atom_site_occupancy
Na1 0.0000 0.0000 0.0000 1
Na2 0.2500 0.2500 0.2500 1
Cu1 0.2500 0.2500 0.7500 1
Pd1 0.0000 0.0000 0.5000 1
F1 0.0000 0.1071 0.2598 1
F2 0.0000 0.2500 0.8373 1
F3 0.2215 0.1184 0.5502 1
```

Main lines, in order of rising 2θ (2θ from 5° to 70°):
2θ (°)  I/Imax  hkl
15.33  29  0 1 1
17.53  61  1 0 1
25.06  64  1 2 1
29.15  20  2 1 1
30.54  84  2 2 0
30.95  100  0 2 2
35.49  18  2 0 2
40.21  16  1 0 3
50.52  25  4 0 0
51.42  78  2 4 2
60.43  27  4 2 2
61.16  28  2 2 4

Record 6
# Y2Cd2Sn3
Computed powder diffractogram, Cu Kα, 1.54184 Å. Input: a DFT-relaxed cell (PBE, OQMD).
Neutral-atom scattering factors, no anomalous dispersion.

Crystal structure
```
data_Y2Cd2Sn3
_symmetry_space_group_name_H-M 'R 3 m'
_symmetry_Int_Tables_number 160
_symmetry_space_group_name_Hall 'R 3 -2"'
_cell_length_a 4.9826
_cell_length_b 4.9826
_cell_length_c 26.9486
_cell_angle_alpha 90.00
_cell_angle_beta 90.00
_cell_angle_gamma 120.00
loop_
_atom_site_label
_atom_site_fract_x
_atom_site_fract_y
_atom_site_fract_z
_atom_site_occupancy
Y1 0.0000 0.0000 0.0000 1
Y2 0.0000 0.0000 0.4994 1
Cd1 0.0000 0.0000 0.2421 1
Cd2 0.0000 0.0000 0.7547 1
Sn1 0.0000 0.0000 0.3867 1
Sn2 0.0000 0.0000 0.6226 1
Sn3 0.0000 0.0000 0.8679 1
```

Main lines, in order of rising 2θ (2θ from 5° to 70°):
2θ (°)  I/Imax  hkl
20.85  10  1 0 1
21.63  8  0 1 2
26.46  18  0 1 5
33.76  100  0 1 8
36.05  93  1 1 0
47.48  6  1 1 9
48.73  9  1 0 13
50.22  32  2 0 8
58.86  14  1 0 16
62.09  4  0 2 13
63.36  32  1 2 8
64.82  17  3 0 0

Number 2 is which compound? LaMg2GaAu

Number 1 is which compound? Zn5B3Ir7